Starting from a cell relaxed with PBE, the powder XRD pattern of Mg6AgPd5 was simulated for λ = 1.5418 Å (Cu Kα).

Atomic structure:
abc: 4.5295 6.4552 7.0575
angles: 90.00 106.35 90.00
Space group P2/m (No. 10)
One atom of each set of equivalent atoms:
1 Mg 0.0000 0.2420 0.0000 (multiplicity 2)
2 Mg 0.3277 0.2466 0.6593 (multiplicity 4)
3 Ag 0.5000 0.5000 0.0000 (multiplicity 1)
4 Pd 0.1658 0.5000 0.3283 (multiplicity 2)
5 Pd 0.1674 0.0000 0.3306 (multiplicity 2)
6 Pd 0.5000 0.0000 0.0000 (multiplicity 1)

Top 10 peaks for 2θ from 5° to 70°, by angle:
(hkl)	two_theta	I (rel.)
1 0 1	27.32	51
0 2 0	27.64	49
1 0 -2	28.49	46
1 2 1	39.26	100
2 0 -1	39.84	48
0 0 3	39.94	47
1 2 -2	40.11	94
0 2 3	49.22	40
2 0 2	56.38	17
0 4 0	57.07	16

***

Starting from a cell relaxed with PBE, the powder XRD pattern of Ca3HgPd was simulated for λ = 1.5418 Å (Cu Kα).

Atomic structure:
abc: 9.0054 8.6156 7.3904
angles: 90.00 92.96 90.00
Space group P2_1/c (No. 14)
One atom of each set of equivalent atoms:
1 Ca 0.0926 0.2062 0.0129 (multiplicity 4)
2 Ca 0.2313 0.6044 0.8275 (multiplicity 4)
3 Ca 0.3800 0.5181 0.2975 (multiplicity 4)
4 Hg 0.4483 0.2037 0.4798 (multiplicity 4)
5 Pd 0.0672 0.5400 0.1827 (multiplicity 4)

Top 10 peaks for 2θ from 5° to 70°, by angle:
(hkl)	two_theta	I (rel.)
1 0 0	9.83	44
0 1 1	15.81	50
2 0 0	19.74	78
1 2 0	22.89	86
1 0 -2	25.62	47
2 0 -2	30.53	41
3 1 0	31.60	83
0 2 2	31.93	100
1 3 -1	34.79	71
2 2 2	38.51	33

***

Starting from a cell relaxed with PBE, the powder XRD pattern of Sr2TmGaCu2O7 was simulated for λ = 1.5418 Å (Cu Kα).

Atomic structure:
abc: 23.2518 5.4938 5.3900
angles: 90.00 90.00 90.00
Space group Ima2 (No. 46)
One atom of each set of equivalent atoms:
1 Sr 0.1512 0.0168 0.0000 (multiplicity 8)
2 Tm 0.0000 0.0000 0.9979 (multiplicity 4)
3 Ga 0.2500 0.5691 0.0376 (multiplicity 4)
4 Cu 0.0695 0.5009 0.9954 (multiplicity 8)
5 O 0.0603 0.2325 0.7628 (multiplicity 8)
6 O 0.0626 0.7314 0.7263 (multiplicity 8)
7 O 0.1764 0.0428 0.4720 (multiplicity 8)
8 O 0.2500 0.6133 0.3916 (multiplicity 4)

Top 10 peaks for 2θ from 5° to 70°, by angle:
(hkl)	two_theta	I (rel.)
2 0 0	7.60	61
2 1 1	24.37	10
0 2 0	32.60	29
6 1 1	32.80	100
0 0 2	33.24	31
8 1 1	38.83	29
0 2 2	47.25	31
6 3 1	58.29	23
6 1 3	59.12	19
12 2 2	68.78	9

***

Starting from a cell relaxed with PBE, the powder XRD pattern of Pm2ZrNpP4 was simulated for λ = 1.5418 Å (Cu Kα).

Atomic structure:
abc: 6.8621 3.9754 6.9162
angles: 90.00 109.18 90.00
Space group P2/m (No. 10)
One atom of each set of equivalent atoms:
1 Pm 0.0000 0.0000 0.0000 (multiplicity 1)
2 Pm 0.5000 0.5000 0.0000 (multiplicity 1)
3 Zr 0.0000 0.5000 0.5000 (multiplicity 1)
4 Np 0.5000 0.0000 0.5000 (multiplicity 1)
5 P 0.2388 0.0000 0.7290 (multiplicity 2)
6 P 0.2509 0.5000 0.2685 (multiplicity 2)

Top 10 peaks for 2θ from 5° to 70°, by angle:
(hkl)	two_theta	I (rel.)
0 0 2	27.30	33
2 0 0	27.50	95
1 1 1	31.77	100
2 0 -2	31.88	49
2 0 2	45.47	54
0 2 0	45.64	18
3 1 -1	45.77	36
2 0 -4	53.98	16
3 1 1	54.09	21
4 0 0	56.77	28

***

Starting from a cell relaxed with PBE, the powder XRD pattern of Tb2YRu was simulated for λ = 1.5418 Å (Cu Kα).

Atomic structure:
abc: 3.9633 11.8869 9.1025
angles: 90.00 90.00 90.00
Space group Cmcm (No. 63)
One atom of each set of equivalent atoms:
1 Tb 0.0000 0.1430 0.0670 (multiplicity 8)
2 Y 0.0000 0.4245 0.2500 (multiplicity 4)
3 Ru 0.0000 0.2439 0.7500 (multiplicity 4)

Top 10 peaks for 2θ from 5° to 70°, by angle:
(hkl)	two_theta	I (rel.)
0 2 0	14.91	36
1 1 2	30.85	75
1 3 0	31.94	75
0 2 3	33.15	100
1 3 1	33.46	86
0 4 2	36.10	39
1 3 2	37.70	27
1 1 3	38.11	86
2 0 0	45.79	37
2 2 3	57.69	41

***

Starting from a cell relaxed with PBE, the powder XRD pattern of Dy11Zn9Cu4 was simulated for λ = 1.5418 Å (Cu Kα).

Atomic structure:
abc: 13.8740 20.8139 3.5963
angles: 90.00 90.00 90.00
Space group Cmmm (No. 65)
One atom of each set of equivalent atoms:
1 Dy 0.0000 0.0000 0.0000 (multiplicity 2)
2 Dy 0.0000 0.1675 0.0000 (multiplicity 4)
3 Dy 0.0000 0.3638 0.0000 (multiplicity 4)
4 Dy 0.2132 0.5000 0.0000 (multiplicity 4)
5 Dy 0.2431 0.1711 0.0000 (multiplicity 8)
6 Zn 0.0000 0.5000 0.5000 (multiplicity 2)
7 Zn 0.1043 0.2636 0.5000 (multiplicity 8)
8 Zn 0.1401 0.0736 0.5000 (multiplicity 8)
9 Cu 0.1475 0.4032 0.5000 (multiplicity 8)

Top 10 peaks for 2θ from 5° to 70°, by angle:
(hkl)	two_theta	I (rel.)
0 0 1	24.76	9
4 0 0	25.68	19
3 3 1	34.12	8
4 0 1	35.97	100
4 6 0	36.64	43
3 5 1	38.36	12
0 0 2	50.77	13
8 0 0	52.78	10
4 6 2	64.23	16
8 6 1	65.53	14

***

Starting from a cell relaxed with PBE, the powder XRD pattern of AsP2Os was simulated for λ = 1.5418 Å (Cu Kα).

Atomic structure:
abc: 4.2524 4.4670 6.9691
angles: 90.00 90.00 90.00
Space group Amm2 (No. 38)
One atom of each set of equivalent atoms:
1 As 0.0000 0.0000 0.0000 (multiplicity 2)
2 P 0.0000 0.0000 0.3758 (multiplicity 2)
3 P 0.5000 0.0000 0.5815 (multiplicity 2)
4 Os 0.5000 0.0000 0.2059 (multiplicity 2)

Top 10 peaks for 2θ from 5° to 70°, by angle:
(hkl)	two_theta	I (rel.)
1 0 0	20.89	19
0 1 1	23.66	100
1 1 1	31.76	50
1 0 2	33.24	76
0 2 0	40.38	32
2 0 0	42.52	28
1 1 3	49.12	61
2 1 1	49.23	29
1 2 2	53.27	40
2 2 0	60.08	20

***

Starting from a cell relaxed with PBE, the powder XRD pattern of Li2Hg6Pb was simulated for λ = 1.5418 Å (Cu Kα).

Atomic structure:
abc: 9.4518 15.2172 3.2507
angles: 90.00 109.20 90.00
Space group C2/m (No. 12)
One atom of each set of equivalent atoms:
1 Li 0.2024 0.0000 0.1977 (multiplicity 4)
2 Hg 0.0000 0.1108 0.5000 (multiplicity 4)
3 Hg 0.1747 0.3239 0.2032 (multiplicity 8)
4 Pb 0.0000 0.5000 0.0000 (multiplicity 2)

Top 10 peaks for 2θ from 5° to 70°, by angle:
(hkl)	two_theta	I (rel.)
2 2 0	23.10	54
1 1 -1	28.07	82
3 1 0	30.62	18
1 5 0	31.05	63
1 3 -1	32.72	47
3 3 0	34.96	100
0 6 0	35.39	18
2 0 1	40.79	20
4 0 -1	41.47	20
2 6 -1	46.65	22